The following is a calculated powder diffractogram of ErGa3Cu8. It was derived from a DFT-relaxed cell (PBE, Alexandria), using Cu Kα (λ = 1.5418 Å).
Kinematic intensities with the Lorentz-polarization factor, no thermal factor.

Atomic structure:
```
data_ErGa3Cu8
_cell_length_a 4.9322
_cell_length_b 4.9322
_cell_length_c 8.1827
_cell_angle_alpha 90.00
_cell_angle_beta 90.00
_cell_angle_gamma 120.00
_symmetry_space_group_name_H-M 'P 3 m 1'
_symmetry_Int_Tables_number 156
loop_
_symmetry_equiv_pos_as_xyz
'x,y,z'
'-y,x-y,z'
'-x+y,-x,z'
'-y,-x,z'
'-x+y,y,z'
'x,x-y,z'
loop_
_atom_site_label
_atom_site_type_symbol
_atom_site_fract_x
_atom_site_fract_y
_atom_site_fract_z
Er1 Er 0.0000 0.0000 0.0000
Ga1 Ga 0.0000 0.0000 0.3778
Ga2 Ga 0.6667 0.3333 0.4917
Ga3 Ga 0.6667 0.3333 0.8539
Cu1 Cu 0.1644 0.3287 0.6762
Cu2 Cu 0.3333 0.6667 0.4325
Cu3 Cu 0.3333 0.6667 0.9274
Cu4 Cu 0.5023 0.0046 0.1907
```

Most intense lines, 2θ = 15–90°, sorted by position:
(1 1 0), d = 2.466 Å, intensity 40; (1 0 3), d = 2.299 Å, intensity 85; (1 1 2), d = 2.112 Å, intensity 100; (2 0 1), d = 2.066 Å, intensity 80; (0 0 4), d = 2.046 Å, intensity 14; (2 1 3), d = 1.389 Å, intensity 31; (0 3 2), d = 1.345 Å, intensity 22; (0 2 5), d = 1.299 Å, intensity 31; (2 2 0), d = 1.233 Å, intensity 24; (2 0 6), d = 1.149 Å, intensity 14